This entry pairs a crystal structure of K5NaS4Cl2O12 with its computed powder diffraction line list. Radiation: a wavelength of 1.5418 Å. Structure: the GGA-PBE geometry in the Materials Project.
Peak positions follow from Bragg's law for the DFT cell and can differ from measured ones.

Main lines, low angle first (2θ = 10–80°):
| d [Å] | I (rel.) |
| --- | --- |
| 4.263 | 41 |
| 3.509 | 60 |
| 3.257 | 100 |
| 2.944 | 46 |
| 2.766 | 100 |
| 2.425 | 35 |
| 2.352 | 22 |
| 2.132 | 20 |
| 2.120 | 19 |
| 2.015 | 23 |

Crystal structure
```
K5NaS4Cl2O12
1.0
8.7420 0.0000 0.0000
0.0000 8.7420 0.0000
0.0000 0.0000 11.7741
K Na S Cl O
10 2 8 4 24
Direct
0.0000 0.0000 0.0000 K
0.1884 0.3116 0.2500 K
0.1884 0.3116 0.7500 K
0.3116 0.8116 0.2500 K
0.3116 0.8116 0.7500 K
0.5000 0.5000 0.5000 K
0.6884 0.1884 0.2500 K
0.6884 0.1884 0.7500 K
0.8116 0.6884 0.2500 K
0.8116 0.6884 0.7500 K
0.0000 0.0000 0.5000 Na
0.5000 0.5000 0.0000 Na
0.0746 0.5997 0.5000 S
0.0997 0.5746 0.0000 S
0.4003 0.0746 0.5000 S
0.4254 0.0997 0.0000 S
0.5746 0.9003 0.0000 S
0.5997 0.9254 0.5000 S
0.9003 0.4254 0.0000 S
0.9254 0.4003 0.5000 S
0.0000 0.0000 0.2640 Cl
0.0000 0.0000 0.7360 Cl
0.5000 0.5000 0.2360 Cl
0.5000 0.5000 0.7640 Cl
0.0331 0.2715 0.5000 O
0.0845 0.6658 0.1047 O
0.0845 0.6658 0.8953 O
0.1658 0.5845 0.3953 O
0.1658 0.5845 0.6047 O
0.2285 0.4669 0.0000 O
0.2715 0.9669 0.5000 O
0.3342 0.0845 0.1047 O
0.3342 0.0845 0.8953 O
0.4155 0.1658 0.3953 O
0.4155 0.1658 0.6047 O
0.4669 0.7715 0.0000 O
0.5331 0.2285 0.0000 O
0.5845 0.8342 0.3953 O
0.5845 0.8342 0.6047 O
0.6658 0.9155 0.1047 O
0.6658 0.9155 0.8953 O
0.7285 0.0331 0.5000 O
0.7715 0.5331 0.0000 O
0.8342 0.4155 0.3953 O
0.8342 0.4155 0.6047 O
0.9155 0.3342 0.1047 O
0.9155 0.3342 0.8953 O
0.9669 0.7285 0.5000 O
```